1.
Ba3Au2: calculated XRD peak list (Cu Kα), based on the GGA-PBE geometry in the Materials Project.
Lines closer than 0.1° are merged.

Structural model:
Lattice parameters (Å, degrees): 8.820 8.820 8.820 71.77 71.77 71.77
Sites, in units of the cell vectors:
Ba 0.000 0.000 0.000
Ba 0.159 0.675 0.387
Ba 0.204 0.204 0.204
Ba 0.325 0.613 0.841
Ba 0.387 0.159 0.675
Ba 0.613 0.841 0.325
Ba 0.675 0.387 0.159
Ba 0.796 0.796 0.796
Ba 0.841 0.325 0.613
Au 0.040 0.404 0.854
Au 0.146 0.960 0.596
Au 0.404 0.854 0.040
Au 0.596 0.146 0.960
Au 0.854 0.040 0.404
Au 0.960 0.596 0.146

Peak list (10 most intense, 5° ≤ 2θ ≤ 70°, by intensity)
2θ = 27.9°, I = 100
2θ = 32.6°, I = 69
2θ = 32.2°, I = 68
2θ = 29.9°, I = 56
2θ = 10.9°, I = 42
2θ = 27.5°, I = 38
2θ = 36.5°, I = 29
2θ = 26.7°, I = 28
2θ = 43.2°, I = 28
2θ = 17.2°, I = 20

2.
Sr3GaSb3: calculated XRD peak list (Cu Kα), based on the GGA-PBE geometry in the Materials Project.
Lines closer than 0.1° are merged.

Structural model:
Lattice parameters (Å, degrees): 11.837 14.784 13.612 90.00 124.98 90.00
Sites, in units of the cell vectors:
Sr 0.077 0.067 0.164
Sr 0.077 0.433 0.664
Sr 0.137 0.750 0.158
Sr 0.137 0.750 0.658
Sr 0.139 0.071 0.682
Sr 0.139 0.429 0.182
Sr 0.350 0.575 0.023
Sr 0.350 0.925 0.523
Sr 0.382 0.595 0.538
Sr 0.382 0.905 0.038
Sr 0.404 0.217 0.591
Sr 0.404 0.283 0.091
Sr 0.596 0.717 0.909
Sr 0.596 0.783 0.409
Sr 0.618 0.095 0.962
Sr 0.618 0.405 0.462
Sr 0.650 0.075 0.477
Sr 0.650 0.425 0.977
Sr 0.861 0.571 0.818
Sr 0.861 0.929 0.318
Sr 0.863 0.250 0.342
Sr 0.863 0.250 0.842
Sr 0.923 0.567 0.336
Sr 0.923 0.933 0.836
Ga 0.130 0.245 0.322
Ga 0.130 0.255 0.822
Ga 0.372 0.091 0.188
Ga 0.372 0.409 0.688
Ga 0.628 0.591 0.312
Ga 0.628 0.909 0.812
Ga 0.870 0.745 0.178
Ga 0.870 0.755 0.678
Sb 0.110 0.741 0.899
Sb 0.110 0.759 0.399
Sb 0.115 0.090 0.426
Sb 0.115 0.410 0.926
Sb 0.155 0.099 0.950
Sb 0.155 0.401 0.450
Sb 0.350 0.567 0.774
Sb 0.350 0.933 0.274
Sb 0.367 0.238 0.321
Sb 0.367 0.262 0.821
Sb 0.391 0.594 0.296
Sb 0.391 0.906 0.796
Sb 0.609 0.094 0.204
Sb 0.609 0.406 0.704
Sb 0.633 0.738 0.179
Sb 0.633 0.762 0.679
Sb 0.650 0.067 0.726
Sb 0.650 0.433 0.226
Sb 0.845 0.599 0.550
Sb 0.845 0.901 0.050
Sb 0.885 0.590 0.074
Sb 0.885 0.910 0.574
Sb 0.890 0.241 0.601
Sb 0.890 0.259 0.101

Peak list (10 most intense, 5° ≤ 2θ ≤ 70°, by intensity)
2θ = 37.1°, I = 100
2θ = 25.8°, I = 81
2θ = 26.2°, I = 33
2θ = 36.5°, I = 24
2θ = 53.0°, I = 14
2θ = 45.5°, I = 11
2θ = 46.0°, I = 11
2θ = 66.0°, I = 8
2θ = 60.0°, I = 7
2θ = 26.9°, I = 7

3.
Cs2MgSn3Se8: calculated XRD peak list (Cu Kα), based on the GGA-PBE geometry in the Materials Project.
Lines closer than 0.1° are merged.

Structural model:
Lattice parameters (Å, degrees): 8.203 13.779 18.858 90.00 90.00 90.00
Sites, in units of the cell vectors:
Cs 0.244 0.190 0.157
Cs 0.249 0.867 0.053
Cs 0.251 0.133 0.553
Cs 0.256 0.810 0.657
Cs 0.744 0.310 0.843
Cs 0.749 0.633 0.947
Cs 0.751 0.367 0.447
Cs 0.756 0.690 0.343
Mg 0.014 0.998 0.347
Mg 0.486 0.002 0.847
Mg 0.514 0.502 0.653
Mg 0.986 0.498 0.153
Sn 0.011 0.483 0.652
Sn 0.232 0.437 0.985
Sn 0.236 0.453 0.320
Sn 0.264 0.547 0.820
Sn 0.268 0.563 0.485
Sn 0.489 0.517 0.152
Sn 0.511 0.017 0.348
Sn 0.732 0.063 0.015
Sn 0.736 0.047 0.680
Sn 0.764 0.953 0.180
Sn 0.768 0.937 0.515
Sn 0.989 0.983 0.848
Se 0.000 0.109 0.952
Se 0.000 0.609 0.548
Se 0.004 0.101 0.740
Se 0.019 0.889 0.235
Se 0.025 0.882 0.456
Se 0.232 0.618 0.156
Se 0.238 0.619 0.948
Se 0.241 0.879 0.852
Se 0.243 0.634 0.357
Se 0.257 0.366 0.857
Se 0.259 0.121 0.352
Se 0.262 0.381 0.448
Se 0.268 0.382 0.656
Se 0.475 0.118 0.956
Se 0.481 0.111 0.735
Se 0.496 0.899 0.240
Se 0.500 0.391 0.048
Se 0.500 0.891 0.452
Se 0.504 0.399 0.260
Se 0.519 0.611 0.765
Se 0.525 0.618 0.544
Se 0.732 0.882 0.844
Se 0.738 0.881 0.052
Se 0.741 0.621 0.148
Se 0.743 0.866 0.643
Se 0.757 0.134 0.143
Se 0.759 0.379 0.648
Se 0.762 0.119 0.552
Se 0.768 0.118 0.344
Se 0.975 0.382 0.044
Se 0.981 0.389 0.265
Se 0.996 0.601 0.760

Peak list (10 most intense, 5° ≤ 2θ ≤ 70°, by intensity)
2θ = 27.0°, I = 100
2θ = 24.5°, I = 54
2θ = 12.8°, I = 38
2θ = 25.7°, I = 37
2θ = 24.0°, I = 36
2θ = 12.6°, I = 34
2θ = 44.2°, I = 31
2θ = 44.0°, I = 30
2θ = 52.5°, I = 27
2θ = 25.9°, I = 26